# 1
Theoretical X-ray powder pattern
Compound: Ba6LiNb2IrCl2O12
Radiation: Cu Kα, 1.54184 Å
Structure: DFT lattice parameters and positions (GGA-PBE)
Kinematic intensities with the Lorentz-polarization factor, no thermal factor.

Atomic structure:
```
data_Ba6LiNb2IrCl2O12
_chemical_formula_sum 'Ba6 Li1 Nb2 Ir1 Cl2 O12'
_cell_length_a 6.1260
_cell_length_b 6.1260
_cell_length_c 15.2258
_cell_angle_alpha 94.68
_cell_angle_beta 94.68
_cell_angle_gamma 58.50
_space_group_name_H-M_alt 'P 1'
_space_group_IT_number 1
_space_group_name_Hall 'P 1'
loop_
_atom_site_label
_atom_site_type_symbol
_atom_site_fract_x
_atom_site_fract_y
_atom_site_fract_z
Ba1 Ba 0.1416 0.1416 0.2175
Ba2 Ba 0.1795 0.1795 0.6368
Ba3 Ba 0.2200 0.2200 0.9009
Ba4 Ba 0.7800 0.7800 0.0991
Ba5 Ba 0.8205 0.8205 0.3632
Ba6 Ba 0.8584 0.8584 0.7825
Li1 Li 0.0000 0.0000 0.0000
Nb1 Nb 0.4650 0.4650 0.1809
Nb2 Nb 0.5350 0.5350 0.8191
Ir1 Ir 0.5000 0.5000 0.0000
Cl1 Cl 0.1534 0.1534 0.4245
Cl2 Cl 0.8466 0.8466 0.5755
O1 O 0.1449 0.6185 0.2392
O2 O 0.2052 0.7089 0.9083
O3 O 0.2911 0.7948 0.0917
O4 O 0.3363 0.3363 0.0686
O5 O 0.3694 0.3694 0.7551
O6 O 0.3815 0.8551 0.7608
O7 O 0.6185 0.1449 0.2392
O8 O 0.6306 0.6306 0.2449
O9 O 0.6637 0.6637 0.9314
O10 O 0.7089 0.2052 0.9083
O11 O 0.7948 0.2911 0.0917
O12 O 0.8551 0.3815 0.7608
```

Principal peaks in the range 10° ≤ 2θ ≤ 80°, low angle first:
d 5.005, 17.72 deg, I 55
d 4.871, 18.21 deg, I 32
d 3.716, 23.95 deg, I 37
d 3.550, 25.09 deg, I 27
d 3.135, 28.47 deg, I 51
d 3.052, 29.26 deg, I 100
d 2.994, 29.84 deg, I 75
d 2.947, 30.33 deg, I 28
d 2.104, 42.98 deg, I 29
d 2.024, 44.78 deg, I 31

# 2
Theoretical X-ray powder pattern
Compound: PdPtRhSe5
Radiation: Cu Kα, 1.54184 Å
Structure: DFT lattice parameters and positions (GGA-PBE)
Kinematic intensities with the Lorentz-polarization factor, no thermal factor.

Atomic structure:
```
data_PdPtRhSe5
_chemical_formula_sum 'Pd2 Pt2 Rh2 Se10'
_cell_length_a 6.8925
_cell_length_b 6.8925
_cell_length_c 8.1836
_cell_angle_alpha 97.94
_cell_angle_beta 97.94
_cell_angle_gamma 112.60
_space_group_name_H-M_alt 'P 1'
_space_group_IT_number 1
_space_group_name_Hall 'P 1'
loop_
_atom_site_label
_atom_site_type_symbol
_atom_site_fract_x
_atom_site_fract_y
_atom_site_fract_z
Pd1 Pd 0.0704 0.9296 0.7500
Pd2 Pd 0.9296 0.0704 0.2500
Pt1 Pt 0.0000 0.5000 0.0000
Pt2 Pt 0.5000 0.0000 0.5000
Rh1 Rh 0.4499 0.5501 0.7500
Rh2 Rh 0.5501 0.4499 0.2500
Se1 Se 0.2170 0.7012 0.5858
Se2 Se 0.2267 0.2987 0.9230
Se3 Se 0.2987 0.2267 0.4230
Se4 Se 0.2988 0.7830 0.9142
Se5 Se 0.3314 0.6686 0.2500
Se6 Se 0.6686 0.3314 0.7500
Se7 Se 0.7012 0.2170 0.0858
Se8 Se 0.7013 0.7733 0.5770
Se9 Se 0.7733 0.7013 0.0770
Se10 Se 0.7830 0.2988 0.4142
```

Principal peaks in the range 10° ≤ 2θ ≤ 80°, low angle first:
d 4.462, 19.90 deg, I 100
d 3.260, 27.36 deg, I 74
d 3.122, 28.60 deg, I 91
d 2.867, 31.20 deg, I 38
d 2.484, 36.16 deg, I 42
d 2.324, 38.74 deg, I 37
d 2.267, 39.75 deg, I 33
d 2.073, 43.66 deg, I 67
d 1.979, 45.84 deg, I 48
d 1.704, 53.81 deg, I 45